Starting from a crystal structure in Alexandria, relaxed with GGA-PBE, the X-ray powder pattern of NpCoGe3 was calculated for λ = 1.5418 Å (Cu Kα).

Main lines, in order of rising 2θ (2θ = 15–90°):
two_theta	d_spacing	intensity
22.85	3.892	31
34.51	2.599	46
35.05	2.560	100
42.70	2.118	48
56.02	1.642	23
73.23	1.293	24

Structural model:
Unit cell a=5.7738 b=5.7738 c=5.7738 alpha=136.97 beta=136.97 gamma=62.49
Atoms (fractional coordinates):
Np1 0.0000 0.0000 0.0000
Co1 0.3309 0.3309 0.0000
Ge1 0.2388 0.7388 0.5000
Ge2 0.5591 0.5591 0.0000
Ge3 0.7388 0.2388 0.5000

---

Starting from a crystal structure in Alexandria, relaxed with GGA-PBE, the X-ray powder pattern of La6OsI10 was calculated for λ = 1.5418 Å (Cu Kα).

Main lines, in order of rising 2θ (2θ = 15–90°):
two_theta	d_spacing	intensity
26.84	3.321	100
27.68	3.223	90
27.83	3.205	90
39.37	2.289	34
39.54	2.279	65
48.64	1.872	33

Structural model:
Unit cell a=8.1779 b=10.1258 c=10.1578 alpha=107.62 beta=97.03 gamma=105.14
Atoms (fractional coordinates):
La1 0.0345 0.2166 0.4148
La2 0.1186 0.5446 0.2632
La3 0.3591 0.6327 0.6774
La4 0.6409 0.3673 0.3226
La5 0.8814 0.4554 0.7368
La6 0.9655 0.7834 0.5852
Os1 0.0000 0.5000 0.5000
I1 0.0846 0.8706 0.3201
I2 0.2139 0.2412 0.1492
I3 0.2559 0.5862 0.9610
I4 0.3506 0.9565 0.7726
I5 0.4544 0.3172 0.5877
I6 0.5456 0.6828 0.4123
I7 0.6494 0.0435 0.2274
I8 0.7441 0.4138 0.0390
I9 0.7861 0.7588 0.8508
I10 0.9154 0.1294 0.6799

---

Starting from a crystal structure in Alexandria, relaxed with GGA-PBE, the X-ray powder pattern of DyMn9Fe3 was calculated for λ = 1.5418 Å (Cu Kα).

Main lines, in order of rising 2θ (2θ = 15–90°):
two_theta	d_spacing	intensity
30.80	2.903	39
37.88	2.375	27
43.66	2.073	100
43.92	2.062	87
44.36	2.042	44
44.55	2.034	43

Structural model:
Unit cell a=6.3033 b=6.3033 c=6.3110 alpha=97.78 beta=97.78 gamma=136.41
Atoms (fractional coordinates):
Dy1 0.0000 0.0000 0.0000
Mn1 0.9995 0.3613 0.3604
Mn2 0.0005 0.6387 0.6396
Mn3 0.2746 0.5012 0.7726
Mn4 0.3613 0.9995 0.3604
Mn5 0.4988 0.7254 0.2274
Mn6 0.5000 0.5000 0.5000
Mn7 0.5012 0.2746 0.7726
Mn8 0.6387 0.0005 0.6396
Mn9 0.7254 0.4988 0.2274
Fe1 0.0000 0.0000 0.5000
Fe2 0.0000 0.5000 0.0000
Fe3 0.5000 0.0000 0.0000

---

Starting from a crystal structure in Alexandria, relaxed with GGA-PBE, the X-ray powder pattern of CrCd7 was calculated for λ = 1.5418 Å (Cu Kα).

Main lines, in order of rising 2θ (2θ = 15–90°):
two_theta	d_spacing	intensity
35.29	2.543	100
40.98	2.202	49
59.35	1.557	31
70.97	1.328	36
74.65	1.271	10
88.87	1.101	5

Structural model:
Unit cell a=6.2289 b=6.2289 c=6.2289 alpha=60.00 beta=60.00 gamma=60.00
Atoms (fractional coordinates):
Cr1 0.0000 0.0000 0.0000
Cd1 0.0000 0.0000 0.5000
Cd2 0.0000 0.5000 0.0000
Cd3 0.0000 0.5000 0.5000
Cd4 0.5000 0.0000 0.0000
Cd5 0.5000 0.0000 0.5000
Cd6 0.5000 0.5000 0.0000
Cd7 0.5000 0.5000 0.5000

---

Starting from a crystal structure in Alexandria, relaxed with GGA-PBE, the X-ray powder pattern of AcReSi3 was calculated for λ = 1.5418 Å (Cu Kα).

Main lines, in order of rising 2θ (2θ = 15–90°):
two_theta	d_spacing	intensity
21.91	4.057	47
28.51	3.130	66
33.37	2.685	100
33.66	2.663	46
40.76	2.214	44
53.66	1.708	53

Structural model:
Unit cell a=5.9540 b=5.9540 c=5.9540 alpha=136.35 beta=136.35 gamma=63.44
Atoms (fractional coordinates):
Ac1 0.0000 0.0000 0.0000
Re1 0.3466 0.3466 0.0000
Si1 0.2430 0.7430 0.5000
Si2 0.5832 0.5832 0.0000
Si3 0.7430 0.2430 0.5000

---

Starting from a crystal structure in Alexandria, relaxed with GGA-PBE, the X-ray powder pattern of AcMgTlI was calculated for λ = 1.5418 Å (Cu Kα).

Main lines, in order of rising 2θ (2θ = 15–90°):
two_theta	d_spacing	intensity
22.97	3.872	42
25.35	3.513	100
29.93	2.985	28
32.66	2.742	26
38.11	2.361	59
38.73	2.325	39

Structural model:
Unit cell a=16.2414 b=16.2414 c=16.2414 alpha=16.72 beta=16.72 gamma=16.72
Atoms (fractional coordinates):
Ac1 0.0832 0.0832 0.0832
Ac2 0.9168 0.9168 0.9168
Mg1 0.3142 0.3142 0.3142
Mg2 0.6858 0.6858 0.6858
Tl1 0.3755 0.3755 0.3755
Tl2 0.6245 0.6245 0.6245
I1 0.2064 0.2064 0.2064
I2 0.7936 0.7936 0.7936

---

Starting from a crystal structure in Alexandria, relaxed with GGA-PBE, the X-ray powder pattern of Tb2Pm4Sm2Ho was calculated for λ = 1.5418 Å (Cu Kα).

Main lines, in order of rising 2θ (2θ = 15–90°):
two_theta	d_spacing	intensity
30.32	2.948	100
35.11	2.556	34
35.23	2.547	17
50.55	1.806	30
60.04	1.541	29
60.21	1.537	14

Structural model:
Unit cell a=8.0832 b=8.0832 c=8.0607 alpha=107.56 beta=107.56 gamma=36.86
Atoms (fractional coordinates):
Tb1 0.1665 0.1665 0.0000
Tb2 0.8335 0.8335 0.0000
Pm1 0.0551 0.0551 0.3315
Pm2 0.2780 0.2780 0.6684
Pm3 0.7220 0.7220 0.3316
Pm4 0.9449 0.9449 0.6685
Sm1 0.3886 0.3886 0.3311
Sm2 0.6114 0.6114 0.6689
Ho1 0.5000 0.5000 0.0000

---

Starting from a crystal structure in Alexandria, relaxed with GGA-PBE, the X-ray powder pattern of ScRe2Sb was calculated for λ = 1.5418 Å (Cu Kα).

Main lines, in order of rising 2θ (2θ = 15–90°):
two_theta	d_spacing	intensity
17.06	5.197	60
37.05	2.426	100
37.80	2.380	39
40.15	2.246	83
40.39	2.233	51
45.59	1.990	32

Structural model:
Unit cell a=3.0761 b=4.4666 c=5.3290 alpha=90.00 beta=102.78 gamma=90.00
Atoms (fractional coordinates):
Sc1 0.0000 0.0000 0.0000
Re1 0.4470 0.0000 0.4714
Re2 0.7522 0.5000 0.3076
Sb1 0.4249 0.5000 0.7739

---

Starting from a crystal structure in Alexandria, relaxed with GGA-PBE, the X-ray powder pattern of LaHPt was calculated for λ = 1.5418 Å (Cu Kα).

Main lines, in order of rising 2θ (2θ = 15–90°):
two_theta	d_spacing	intensity
30.20	2.959	81
30.60	2.922	100
32.18	2.781	62
36.43	2.466	72
37.72	2.385	90
38.71	2.326	75

Structural model:
Unit cell a=3.8804 b=4.9323 c=5.8348 alpha=90.00 beta=107.57 gamma=90.00
Atoms (fractional coordinates):
La1 0.1262 0.2500 0.2703
La2 0.8738 0.7500 0.7297
H1 0.0895 0.7500 0.2054
H2 0.9105 0.2500 0.7946
Pt1 0.4163 0.2500 0.8182
Pt2 0.5837 0.7500 0.1818

---

Starting from a crystal structure in Alexandria, relaxed with GGA-PBE, the X-ray powder pattern of SrTb5Tl6 was calculated for λ = 1.5418 Å (Cu Kα).

Main lines, in order of rising 2θ (2θ = 15–90°):
two_theta	d_spacing	intensity
32.86	2.726	100
32.95	2.719	50
47.11	1.929	18
47.37	1.919	9
58.63	1.574	29
58.78	1.571	24

Structural model:
Unit cell a=9.4438 b=9.4438 c=5.4535 alpha=106.72 beta=106.72 gamma=120.27
Atoms (fractional coordinates):
Sr1 0.0000 0.0000 0.0000
Tb1 0.1615 0.8385 0.5000
Tb2 0.3310 0.6690 0.0000
Tb3 0.5000 0.5000 0.5000
Tb4 0.6690 0.3310 0.0000
Tb5 0.8385 0.1615 0.5000
Tl1 0.0861 0.4265 0.2562
Tl2 0.2637 0.2637 0.7633
Tl3 0.4265 0.0861 0.2562
Tl4 0.5735 0.9139 0.7438
Tl5 0.7363 0.7363 0.2367
Tl6 0.9139 0.5735 0.7438

---

Starting from a crystal structure in Alexandria, relaxed with GGA-PBE, the X-ray powder pattern of Cu4PH2 was calculated for λ = 1.5418 Å (Cu Kα).

Main lines, in order of rising 2θ (2θ = 15–90°):
two_theta	d_spacing	intensity
34.74	2.582	100
38.96	2.312	27
41.00	2.201	50
57.84	1.594	32
59.37	1.557	15
70.66	1.333	22

Structural model:
Unit cell a=5.5744 b=5.5744 c=5.5744 alpha=133.48 beta=133.48 gamma=67.90
Atoms (fractional coordinates):
Cu1 0.0000 0.5000 0.5000
Cu2 0.2390 0.2390 0.0000
Cu3 0.5000 0.0000 0.5000
Cu4 0.7610 0.7610 0.0000
P1 0.0000 0.0000 0.0000
H1 0.4035 0.4035 0.0000
H2 0.5965 0.5965 0.0000

---

Starting from a crystal structure in Alexandria, relaxed with GGA-PBE, the X-ray powder pattern of Tl6Pd was calculated for λ = 1.5418 Å (Cu Kα).

Main lines, in order of rising 2θ (2θ = 15–90°):
two_theta	d_spacing	intensity
28.60	3.121	15
29.38	3.040	26
32.24	2.777	100
41.46	2.178	24
50.66	1.802	18
53.94	1.700	23

Structural model:
Unit cell a=6.2425 b=6.2425 c=6.0797 alpha=90.00 beta=90.00 gamma=120.00
Atoms (fractional coordinates):
Tl1 0.0000 0.3723 0.2425
Tl2 0.0000 0.6277 0.7575
Tl3 0.3723 0.0000 0.2425
Tl4 0.3723 0.3723 0.7575
Tl5 0.6277 0.0000 0.7575
Tl6 0.6277 0.6277 0.2425
Pd1 0.0000 0.0000 0.5000